Computed X-ray diffraction stick pattern
Compound: AlV2O4
Radiation: Cu Kα (λ = 1.5418 Å)
Structure: a DFT-relaxed cell (GGA+U, Alexandria)
Intensities are scaled so that the largest is 100.

Cell and atoms:
```
data_AlV2O4
_cell_length_a 5.9848
_cell_length_b 5.9848
_cell_length_c 8.3193
_cell_angle_alpha 90.00
_cell_angle_beta 90.00
_cell_angle_gamma 90.00
_space_group_name_H-M_alt 'P 43 21 2'
_space_group_IT_number 96
loop_
_space_group_symop_operation_xyz
'x,y,z'
'-y+1/2,x+1/2,z+3/4'
'-x,-y,z+1/2'
'y+1/2,-x+1/2,z+1/4'
'x+1/2,-y+1/2,-z+1/4'
'-y,-x,-z+1/2'
'-x+1/2,y+1/2,-z+3/4'
'y,x,-z'
loop_
_atom_site_label
_atom_site_fract_x
_atom_site_fract_y
_atom_site_fract_z
_atom_site_occupancy
Al1 0.2466 0.2466 0.0000 1
V1 0.0117 0.2451 0.6193 1
O1 0.0015 0.2606 0.3689 1
O2 0.0026 0.2424 0.8722 1
```

The 12 most intense peaks (5° ≤ 2θ ≤ 70°), low angle first:
Position (°2θ), d (Å), intensity
18.26, 4.858, 55.6
30.13, 2.967, 12.5
35.22, 2.548, 100.0
35.68, 2.516, 49.7
37.01, 2.429, 10.6
42.73, 2.116, 54.4
43.51, 2.080, 25.6
56.54, 1.628, 23.0
56.86, 1.619, 12.2
57.49, 1.603, 10.6
62.03, 1.496, 29.1
62.63, 1.483, 56.4